[1]
This entry pairs a crystal structure of Zr6IrRu with its calculated powder diffractogram. Radiation: Cu Kα. Structure: a DFT-relaxed cell (PBE, Alexandria).

Top 8 peaks for 2θ = 5–70°, most intense first:
2θ/deg  I (rel.)  (hkl)
36.4  100.0  1 1 4
38.5  45.3  2 0 0
68.3  30.5  3 1 4
11.9  16.1  0 0 2
63.9  15.3  2 0 8
55.6  15.3  2 2 0
48.9  8.7  0 0 8
45.7  7.4  1 1 6

Atomic structure:
Cell: 4.673 4.673 14.893 Å, 90.00 90.00 90.00°
Space group I4/mmm (No. 139)
Inequivalent atoms, fractional coordinates:
Zr  0.000  0.000  0.249 [4 per cell]
Zr  0.000  0.500  0.110 [8 per cell]
Ir  0.000  0.000  0.500 [2 per cell]
Ru  0.000  0.000  0.000 [2 per cell]



[2]
This entry pairs a crystal structure of La7TbHo3 with its calculated powder diffractogram. Radiation: Cu Kα. Structure: a DFT-relaxed cell (PBE, Alexandria).

Top 8 peaks for 2θ = 5–70°, most intense first:
2θ/deg  I (rel.)  (hkl)
31.7  100.0  0 3 1
30.3  24.8  -2 2 2
27.7  23.6  0 2 -3
49.0  19.7  2 2 3
58.7  19.0  3 2 -5
54.8  14.1  4 -3 0
41.6  13.0  -1 2 5
59.5  11.0  1 -5 5

Atomic structure:
Cell: 6.964 9.498 12.610 Å, 93.28 99.17 108.43°
Space group P1 (No. 1)
Inequivalent atoms, fractional coordinates:
La  0.000  0.000  0.000 [1 per cell]
La  0.028  0.650  0.877 [1 per cell]
La  0.120  0.108  0.516 [1 per cell]
La  0.211  0.569  0.154 [1 per cell]
La  0.357  0.819  0.545 [1 per cell]
La  0.388  0.479  0.425 [1 per cell]
La  0.453  0.275  0.184 [1 per cell]
La  0.539  0.733  0.821 [1 per cell]
La  0.636  0.189  0.455 [1 per cell]
La  0.724  0.646  0.093 [1 per cell]
La  0.753  0.294  0.970 [1 per cell]
La  0.812  0.100  0.728 [1 per cell]
La  0.848  0.748  0.607 [1 per cell]
La  0.934  0.201  0.241 [1 per cell]
Tb  0.086  0.455  0.637 [1 per cell]
Tb  0.479  0.932  0.063 [1 per cell]
Ho  0.179  0.910  0.275 [1 per cell]
Ho  0.274  0.366  0.907 [1 per cell]
Ho  0.298  0.026  0.788 [1 per cell]
Ho  0.567  0.384  0.698 [1 per cell]
Ho  0.666  0.840  0.333 [1 per cell]
Ho  0.903  0.553  0.365 [1 per cell]



[3]
This entry pairs a crystal structure of Pr2SmYTe5 with its calculated powder diffractogram. Radiation: Cu Kα. Structure: a DFT-relaxed cell (PBE, Alexandria).

Top 8 peaks for 2θ = 5–70°, most intense first:
2θ/deg  I (rel.)  (hkl)
7.6  100.0  0 0 1
31.7  99.1  2 0 0
22.3  78.0  1 1 0
27.9  52.1  1 0 3
32.2  46.2  1 1 3
45.4  36.3  2 2 0
34.7  33.7  1 0 4
42.7  33.1  2 1 3

Atomic structure:
Cell: 5.647 5.647 11.638 Å, 90.00 90.00 90.00°
Space group P4/mmm (No. 123)
Inequivalent atoms, fractional coordinates:
Pr  0.000  0.000  0.162 [2 per cell]
Sm  0.500  0.500  0.000 [1 per cell]
Y  0.500  0.500  0.500 [1 per cell]
Te  0.000  0.000  0.500 [1 per cell]
Te  0.000  0.500  0.000 [2 per cell]
Te  0.500  0.500  0.257 [2 per cell]



[4]
This entry pairs a crystal structure of Pr5ThIn6 with its calculated powder diffractogram. Radiation: Cu Kα. Structure: a DFT-relaxed cell (PBE, Alexandria).

Top 8 peaks for 2θ = 5–70°, most intense first:
2θ/deg  I (rel.)  (hkl)
32.5  100.0  1 3 1
32.6  49.6  2 0 -2
58.0  37.2  5 3 -3
57.9  18.8  2 0 2
46.7  18.0  2 6 -2
68.0  11.5  2 6 2
46.4  9.2  4 0 0
68.2  5.7  4 0 -4

Atomic structure:
Cell: 9.557 16.495 5.502 Å, 90.00 125.06 90.00°
Space group C2/m (No. 12)
Inequivalent atoms, fractional coordinates:
Pr  0.000  0.000  0.000 [2 per cell]
Pr  0.000  0.170  0.500 [4 per cell]
Pr  0.000  0.337  0.000 [4 per cell]
Th  0.000  0.500  0.500 [2 per cell]
In  0.244  0.000  0.744 [4 per cell]
In  0.247  0.167  0.247 [8 per cell]



[5]
This entry pairs a crystal structure of K3TbB2O6 with its calculated powder diffractogram. Radiation: Cu Kα. Structure: a DFT-relaxed cell (PBE, Alexandria).

Top 8 peaks for 2θ = 5–70°, most intense first:
2θ/deg  I (rel.)  (hkl)
31.8  100.0  2 1 1
15.9  91.3  1 1 0
32.0  78.9  0 0 2
18.4  67.6  0 1 1
32.6  56.8  0 3 1
45.9  44.6  2 2 2
18.8  30.7  0 2 0
20.4  29.7  1 0 1

Atomic structure:
Cell: 6.923 9.465 5.592 Å, 90.00 90.00 90.00°
Space group Pnnm (No. 58)
Inequivalent atoms, fractional coordinates:
K  0.000  0.000  0.000 [2 per cell]
K  0.229  0.332  0.000 [4 per cell]
Tb  0.000  0.500  0.500 [2 per cell]
B  0.236  0.666  0.000 [4 per cell]
O  0.193  0.304  0.500 [4 per cell]
O  0.200  0.597  0.216 [8 per cell]



[6]
This entry pairs a crystal structure of Tc2IrSe with its calculated powder diffractogram. Radiation: Cu Kα. Structure: a DFT-relaxed cell (PBE, Alexandria).

Top 8 peaks for 2θ = 5–70°, most intense first:
2θ/deg  I (rel.)  (hkl)
39.8  100.0  1 0 2
44.3  37.8  1 1 0
69.0  17.8  1 1 4
64.5  12.2  2 0 0
12.1  11.9  0 0 1
49.9  11.8  0 0 4
33.4  8.0  1 0 1
24.4  6.6  0 0 2

Atomic structure:
Cell: 2.889 2.889 7.305 Å, 90.00 90.00 90.00°
Space group P4mm (No. 99)
Inequivalent atoms, fractional coordinates:
Tc  0.000  0.000  0.000 [1 per cell]
Tc  0.500  0.500  0.253 [1 per cell]
Ir  0.000  0.000  0.493 [1 per cell]
Se  0.500  0.500  0.783 [1 per cell]



[7]
This entry pairs a crystal structure of Li2TbHg3 with its calculated powder diffractogram. Radiation: Cu Kα. Structure: a DFT-relaxed cell (PBE, Alexandria).

Top 8 peaks for 2θ = 5–70°, most intense first:
2θ/deg  I (rel.)  (hkl)
36.5  100.0  1 0 3
36.7  59.6  1 1 0
25.7  46.4  1 0 0
65.9  36.4  2 1 3
30.9  23.3  1 0 2
27.1  22.0  1 0 1
52.8  21.2  2 0 0
25.5  16.8  0 0 3

Atomic structure:
Cell: 3.465 3.465 10.482 Å, 90.00 90.00 90.00°
Space group P4/mmm (No. 123)
Inequivalent atoms, fractional coordinates:
Li  0.000  0.000  0.153 [2 per cell]
Tb  0.000  0.000  0.500 [1 per cell]
Hg  0.500  0.500  0.000 [1 per cell]
Hg  0.500  0.500  0.302 [2 per cell]



[8]
This entry pairs a crystal structure of CoNi2Te4 with its calculated powder diffractogram. Radiation: Cu Kα. Structure: a DFT-relaxed cell (PBE, Alexandria).

Top 8 peaks for 2θ = 5–70°, most intense first:
2θ/deg  I (rel.)  (hkl)
48.3  100.0  2 2 4
33.6  95.6  0 0 4
29.0  81.0  2 0 2
57.3  30.8  2 0 6
44.1  26.2  3 2 1
60.1  21.0  4 0 4
27.8  19.8  1 0 3
14.4  12.9  1 0 1

Atomic structure:
Cell: 7.544 7.544 10.648 Å, 90.00 90.00 90.00°
Space group P4_122 (No. 91)
Inequivalent atoms, fractional coordinates:
Co  0.000  0.247  0.000 [4 per cell]
Ni  0.247  0.500  0.750 [4 per cell]
Ni  0.253  0.253  0.375 [4 per cell]
Te  0.016  0.246  0.760 [8 per cell]
Te  0.246  0.478  0.991 [8 per cell]



[9]
This entry pairs a crystal structure of ThTa2OsC4 with its calculated powder diffractogram. Radiation: Cu Kα. Structure: a DFT-relaxed cell (PBE, Alexandria).

Top 8 peaks for 2θ = 5–70°, most intense first:
2θ/deg  I (rel.)  (hkl)
32.2  100.0  0 0 4
39.3  42.1  1 3 2
31.2  30.2  0 4 0
36.6  15.6  1 3 1
28.8  14.9  0 2 3
45.6  13.5  0 4 4
55.2  11.6  1 3 5
65.1  11.3  2 0 4

Atomic structure:
Cell: 3.346 11.455 11.082 Å, 90.00 90.00 90.00°
Space group Cmcm (No. 63)
Inequivalent atoms, fractional coordinates:
Th  0.000  0.101  0.250 [4 per cell]
Ta  0.000  0.373  0.040 [8 per cell]
Os  0.000  0.161  0.750 [4 per cell]
C  0.000  0.000  0.000 [4 per cell]
C  0.000  0.267  0.611 [8 per cell]
C  0.000  0.432  0.250 [4 per cell]



[10]
This entry pairs a crystal structure of Ba3Sr4Ac with its calculated powder diffractogram. Radiation: Cu Kα. Structure: a DFT-relaxed cell (PBE, Alexandria).

Top 8 peaks for 2θ = 5–70°, most intense first:
2θ/deg  I (rel.)  (hkl)
5.8  100.0  2 0 0
25.2  97.1  1 1 -1
23.5  71.0  8 0 0
24.2  69.7  2 0 -2
26.9  57.6  3 1 1
26.5  53.6  5 1 0
36.2  43.2  9 1 -1
29.6  42.8  5 1 1

Atomic structure:
Cell: 30.396 4.038 7.468 Å, 90.00 93.91 90.00°
Space group C2/m (No. 12)
Inequivalent atoms, fractional coordinates:
Ba  0.000  0.000  0.000 [2 per cell]
Ba  0.139  0.000  0.225 [4 per cell]
Sr  0.104  0.000  0.706 [4 per cell]
Sr  0.223  0.500  0.741 [4 per cell]
Ac  0.000  0.500  0.500 [2 per cell]